Simulated powder XRD pattern of SrPdO for copper Kα, from a GGA-PBE-relaxed structure.
Intensities are scaled so that the largest is 1000.

Structural model:
```
6
Lattice="2.836 -2.839 0.000 2.836 2.839 0.000 -0.109 0.000 7.103" Properties=species:S:1:pos:R:3 pbc="T T T"
Sr 0.000 0.000 0.000
Sr 2.782 -2.772 3.551
Pd 2.773 0.072 1.935
Pd 2.790 0.072 5.167
O 1.452 -1.443 1.642
O 4.111 -1.443 5.461
```

The 10 most intense peaks (10° ≤ 2θ ≤ 90°), by intensity:
two_theta  I (rel.)
31.53  1000
33.89  968
33.52  959
45.20  502
57.94  203
57.40  201
57.65  200
57.20  198
74.83  168
51.46  142

---

Simulated powder XRD pattern of Cs2PaGaS4 for copper Kα, from a GGA-PBE-relaxed structure.
Intensities are scaled so that the largest is 1000.

Structural model:
```
16
Lattice="0.000 7.730 13.280 3.069 0.000 13.280 3.069 7.730 0.000" Properties=species:S:1:pos:R:3 pbc="T T T"
Cs 2.302 5.797 1.365
Cs 3.837 9.662 8.005
Cs 2.302 5.797 18.556
Cs 3.837 9.662 25.196
Pa 0.767 1.932 3.320
Pa 5.371 13.527 23.241
Ga 2.302 5.797 9.960
Ga 3.837 9.662 16.600
S 2.180 3.489 4.761
S 3.958 7.354 11.401
S 2.424 8.105 4.761
S 2.424 3.489 15.160
S 3.715 11.970 11.401
S 3.715 7.354 21.800
S 2.180 8.105 15.160
S 3.958 11.970 21.800
```

The 10 most intense peaks (10° ≤ 2θ ≤ 90°), by intensity:
two_theta  I (rel.)
23.15  1000
13.30  814
28.18  610
22.82  606
15.89  549
35.60  477
31.36  461
40.52  392
23.01  364
42.81  357

---

Simulated powder XRD pattern of HoEr2P3Rh12 for copper Kα, from a GGA-PBE-relaxed structure.
Intensities are scaled so that the largest is 1000.

Structural model:
```
18
Lattice="4.460 2.575 4.268 -4.460 2.575 4.268 0.000 -5.149 4.268" Properties=species:S:1:pos:R:3 pbc="T T T"
Ho 0.000 0.000 0.000
Er 0.000 0.000 4.772
Er 0.000 0.000 8.032
P -4.460 0.000 6.402
P -2.230 1.287 2.134
P 2.230 1.287 2.134
Rh -2.391 -1.380 5.773
Rh 0.000 -2.483 4.361
Rh -2.150 1.241 4.361
Rh -2.150 -1.241 8.442
Rh 0.000 -2.761 7.031
Rh -2.391 1.380 7.031
Rh 2.391 -1.380 5.773
Rh 0.000 2.761 5.773
Rh 2.150 1.241 4.361
Rh 2.150 -1.241 8.442
Rh 0.000 2.483 8.442
Rh 2.391 1.380 7.031
```

The 10 most intense peaks (10° ≤ 2θ ≤ 90°), by intensity:
two_theta  I (rel.)
40.45  1000
36.46  332
36.98  221
47.21  199
28.96  187
20.81  178
42.35  167
33.74  164
73.57  149
45.92  145

---

Simulated powder XRD pattern of NiIrRh2 for copper Kα, from a GGA-PBE-relaxed structure.
Intensities are scaled so that the largest is 1000.

Structural model:
```
4
Lattice="1.355 0.782 8.592 -1.355 0.782 8.592 0.000 -1.564 8.592" Properties=species:S:1:pos:R:3 pbc="T T T"
Ni 0.000 0.000 0.000
Ir 0.000 0.000 19.251
Rh 0.000 0.000 6.513
Rh 0.000 0.000 12.874
```

The 10 most intense peaks (10° ≤ 2θ ≤ 90°), by intensity:
two_theta  I (rel.)
40.93  1000
47.96  625
42.07  300
10.30  289
84.57  235
69.37  206
70.97  183
20.68  128
83.81  123
88.74  108

---

Simulated powder XRD pattern of Cs2Pa3Te8 for copper Kα, from a GGA-PBE-relaxed structure.
Intensities are scaled so that the largest is 1000.

Structural model:
```
13
Lattice="9.408 -4.497 0.000 9.408 4.497 0.000 -2.194 0.000 7.449" Properties=species:S:1:pos:R:3 pbc="T T T"
Cs 4.158 0.000 1.274
Cs 12.464 0.000 6.175
Pa 8.311 2.305 3.725
Pa 9.408 0.000 0.000
Pa 8.311 -2.305 3.725
Te 0.893 0.000 3.323
Te 7.447 2.113 0.851
Te 9.176 2.113 6.598
Te 6.332 0.000 4.503
Te 10.290 0.000 2.946
Te 7.447 -2.113 0.851
Te 9.176 -2.113 6.598
Te 15.730 0.000 4.126
```

The 10 most intense peaks (10° ≤ 2θ ≤ 90°), by intensity:
two_theta  I (rel.)
28.19  1000
40.16  676
28.39  499
23.77  318
40.67  306
17.21  280
35.07  265
32.71  238
49.75  232
18.91  216

---

Simulated powder XRD pattern of CsNaAuO2 for copper Kα, from a GGA-PBE-relaxed structure.
Intensities are scaled so that the largest is 1000.

Structural model:
```
10
Lattice="2.890 -6.518 0.000 2.890 6.518 0.000 0.000 0.000 5.579" Properties=species:S:1:pos:R:3 pbc="T T T"
Cs 2.890 3.259 4.233
Cs 2.890 -3.259 1.346
Na 1.445 0.000 0.000
Na 4.335 0.000 0.000
Au 0.000 0.000 2.789
Au 2.890 0.000 2.789
O 2.890 5.210 1.278
O 2.890 1.308 1.278
O 2.890 -1.308 4.300
O 2.890 -5.210 4.300
```

The 10 most intense peaks (10° ≤ 2θ ≤ 90°), by intensity:
two_theta  I (rel.)
34.98  1000
20.96  698
27.37  614
37.67  531
15.89  521
30.94  488
30.31  478
47.40  457
23.19  422
44.96  297

---

Simulated powder XRD pattern of MnCoW for copper Kα, from a GGA-PBE-relaxed structure.
Intensities are scaled so that the largest is 1000.

Structural model:
```
6
Lattice="-2.343 2.887 2.871 2.343 -2.887 2.871 2.343 2.887 -2.871" Properties=species:S:1:pos:R:3 pbc="T T T"
Mn 1.172 0.905 0.000
Mn 1.172 1.982 2.871
Co 0.000 0.000 1.962
Co 2.343 0.000 1.962
W 1.172 -0.863 3.994
W 1.172 3.750 1.124
```

The 10 most intense peaks (10° ≤ 2θ ≤ 90°), by intensity:
two_theta  I (rel.)
39.89  1000
40.00  879
44.61  455
70.51  450
24.46  445
50.19  374
49.97  315
82.06  240
21.83  226
38.41  221

---

Simulated powder XRD pattern of SrHgBi2Pb2 for copper Kα, from a GGA-PBE-relaxed structure.
Intensities are scaled so that the largest is 1000.

Structural model:
```
12
Lattice="4.781 0.000 0.000 0.000 10.448 0.000 0.000 0.000 8.140" Properties=species:S:1:pos:R:3 pbc="T T T"
Sr 0.000 0.624 0.000
Sr 0.000 9.824 4.070
Hg 2.390 1.746 5.788
Hg 2.390 8.702 1.718
Bi 0.000 3.771 6.467
Bi 0.000 6.677 2.397
Bi 2.390 1.445 2.365
Bi 2.390 9.003 6.435
Pb 0.000 3.506 3.253
Pb 0.000 6.942 7.323
Pb 2.390 4.387 0.693
Pb 2.390 6.061 4.763
```

The 10 most intense peaks (10° ≤ 2θ ≤ 90°), by intensity:
two_theta  I (rel.)
30.08  1000
31.79  882
27.56  672
37.63  530
28.81  486
37.34  370
38.90  340
27.82  307
54.06  261
60.75  259

---

Simulated powder XRD pattern of AcSn6Au6 for copper Kα, from a GGA-PBE-relaxed structure.
Intensities are scaled so that the largest is 1000.

Structural model:
```
13
Lattice="3.223 -5.595 0.000 3.223 5.595 0.000 0.000 0.000 9.018" Properties=species:S:1:pos:R:3 pbc="T T T"
Ac 0.000 0.000 0.000
Sn 1.612 2.798 2.321
Sn 1.612 2.798 6.698
Sn 1.612 -2.798 2.321
Sn 1.612 -2.798 6.698
Sn 3.223 0.000 2.321
Sn 3.223 0.000 6.697
Au 0.000 0.000 3.032
Au 0.000 0.000 5.986
Au 3.223 1.865 0.000
Au 3.223 1.864 4.509
Au 3.223 -1.865 0.000
Au 3.223 -1.864 4.509
```

The 10 most intense peaks (10° ≤ 2θ ≤ 90°), by intensity:
two_theta  I (rel.)
27.64  1000
34.17  982
37.88  773
32.03  458
68.92  314
57.05  310
33.86  298
53.19  285
71.97  238
44.25  218

---

Simulated powder XRD pattern of La4Pm5Tm2 for copper Kα, from a GGA-PBE-relaxed structure.
Intensities are scaled so that the largest is 1000.

Structural model:
```
11
Lattice="11.853 -1.863 0.000 11.853 1.863 0.000 -3.428 0.000 8.732" Properties=species:S:1:pos:R:3 pbc="T T T"
La -0.686 0.000 2.880
La 2.809 0.000 3.336
La 17.470 0.000 5.395
La 20.964 0.000 5.852
Pm -0.412 0.000 8.541
Pm 2.892 0.000 7.178
Pm 11.853 0.000 0.000
Pm 17.387 0.000 1.553
Pm 20.690 0.000 0.191
Tm 8.072 0.000 3.076
Tm 12.206 0.000 5.655
```

The 10 most intense peaks (10° ≤ 2θ ≤ 90°), by intensity:
two_theta  I (rel.)
30.67  1000
30.33  733
30.20  433
31.44  413
30.84  392
32.80  303
31.01  294
55.23  245
48.89  240
28.99  232